1.
Diffraction record for CaHo2Zr. The powder diffractogram is computed, not measured: it uses a PBE-relaxed structure and λ = 1.5418 Å (Cu Kα).

Top 12 peaks for 2θ = 10–90°, in order of rising 2θ:
15.23°, rel. 30, hkl 0 0 6; 29.71°, rel. 17, hkl 1 0 1; 30.05°, rel. 28, hkl 0 1 2; 30.74°, rel. 31, hkl 0 0 12; 31.36°, rel. 14, hkl 1 0 4; 32.32°, rel. 100, hkl 0 1 5; 34.74°, rel. 44, hkl 1 0 7; 39.47°, rel. 41, hkl 1 0 10; 52.52°, rel. 29, hkl 1 1 0; 54.01°, rel. 21, hkl 0 1 17; 62.09°, rel. 24, hkl 1 1 12; 63.02°, rel. 14, hkl 2 0 5

Cell and atoms:
a b c (Å): 3.4849 3.4849 34.9073
angles (deg): 90.00 90.00 120.00
Space group R3m (No. 160, hexagonal axes)
Symmetry-distinct sites (fractional):
Ca 0.0000 0.0000 0.0000 [3 per cell]
Ho 0.0000 0.0000 0.5740 [3 per cell]
Ho 0.0000 0.0000 0.7586 [3 per cell]
Zr 0.0000 0.0000 0.1662 [3 per cell]



2.
Diffraction record for Ca2I3. The powder diffractogram is computed, not measured: it uses a PBE-relaxed structure and λ = 1.5418 Å (Cu Kα).

Top 12 peaks for 2θ = 10–90°, in order of rising 2θ:
23.13°, rel. 24, hkl 0 0 6; 25.86°, rel. 100, hkl 1 1 3; 32.91°, rel. 37, hkl 1 1 6; 40.54°, rel. 29, hkl 3 0 0; 42.36°, rel. 26, hkl 1 1 9; 47.20°, rel. 16, hkl 3 0 6; 48.72°, rel. 16, hkl 2 2 3; 53.19°, rel. 10, hkl 2 2 6; 60.08°, rel. 9, hkl 2 2 9; 64.02°, rel. 14, hkl 3 0 12; 65.18°, rel. 13, hkl 4 1 3; 75.00°, rel. 9, hkl 4 1 9

Cell and atoms:
a b c (Å): 7.7083 7.7083 23.0579
angles (deg): 90.00 90.00 120.00
Space group R-3c (No. 167, hexagonal axes)
Symmetry-distinct sites (fractional):
Ca 0.0000 0.0000 0.1627 [12 per cell]
I 0.0000 0.3189 0.2500 [18 per cell]



3.
Diffraction record for CaIn3I12. The powder diffractogram is computed, not measured: it uses a PBE-relaxed structure and λ = 1.5418 Å (Cu Kα).

Top 12 peaks for 2θ = 10–90°, in order of rising 2θ:
14.85°, rel. 18, hkl 0 0 6; 15.18°, rel. 30, hkl 1 1 3; 16.08°, rel. 14, hkl 2 0 2; 21.28°, rel. 21, hkl 0 1 8; 23.03°, rel. 100, hkl 3 0 0; 25.15°, rel. 29, hkl 2 0 8; 26.06°, rel. 15, hkl 1 1 9; 28.52°, rel. 39, hkl 1 2 8; 38.13°, rel. 16, hkl 0 3 12; 39.43°, rel. 24, hkl 2 3 8; 42.35°, rel. 18, hkl 3 2 10; 43.33°, rel. 14, hkl 0 2 16

Cell and atoms:
a b c (Å): 13.3792 13.3792 35.7998
angles (deg): 90.00 90.00 120.00
Space group R3c (No. 161, hexagonal axes)
Symmetry-distinct sites (fractional):
Ca 0.0000 0.0000 0.0000 [6 per cell]
In 0.0987 0.3888 0.0534 [18 per cell]
I 0.1801 0.3717 0.8835 [18 per cell]
I 0.1842 0.4737 0.7289 [18 per cell]
I 0.1958 0.4386 0.4933 [18 per cell]
I 0.2117 0.4343 0.6204 [18 per cell]



4.
Diffraction record for K3CaIn3I8. The powder diffractogram is computed, not measured: it uses a PBE-relaxed structure and λ = 1.5418 Å (Cu Kα).

Top 12 peaks for 2θ = 10–90°, in order of rising 2θ:
10.75°, rel. 17, hkl 0 0 3; 21.81°, rel. 13, hkl 2 0 2; 25.17°, rel. 100, hkl 0 2 4; 32.79°, rel. 7, hkl 0 2 7; 32.95°, rel. 6, hkl 3 0 3; 35.77°, rel. 36, hkl 2 0 8; 36.03°, rel. 36, hkl 2 2 0; 44.47°, rel. 19, hkl 4 0 4; 51.68°, rel. 11, hkl 0 4 8; 58.14°, rel. 14, hkl 2 2 12; 58.51°, rel. 14, hkl 2 4 4; 64.61°, rel. 10, hkl 4 2 8

Cell and atoms:
a b c (Å): 9.9697 9.9697 24.6879
angles (deg): 90.00 90.00 120.00
Space group R-3m (No. 166, hexagonal axes)
Symmetry-distinct sites (fractional):
K 0.0000 0.5000 0.0000 [9 per cell]
Ca 0.0000 0.0000 0.5000 [3 per cell]
In 0.0000 0.5000 0.5000 [9 per cell]
I 0.0000 0.0000 0.2496 [6 per cell]
I 0.0319 0.5160 0.2406 [18 per cell]



5.
Diffraction record for KCaMn2I8. The powder diffractogram is computed, not measured: it uses a PBE-relaxed structure and λ = 1.5418 Å (Cu Kα).

Top 12 peaks for 2θ = 10–90°, in order of rising 2θ:
15.93°, rel. 11, hkl 0 1 1; 25.08°, rel. 100, hkl 1 1 1; 28.63°, rel. 6, hkl 2 0 1; 29.04°, rel. 47, hkl 2 -1 2; 41.54°, rel. 53, hkl 3 0 0; 49.14°, rel. 44, hkl 4 -2 1; 51.48°, rel. 12, hkl 2 2 2; 60.20°, rel. 8, hkl 4 -2 4; 66.25°, rel. 18, hkl 4 1 1; 68.21°, rel. 14, hkl 5 -1 2; 75.79°, rel. 17, hkl 3 3 0; 81.30°, rel. 13, hkl 3 3 3

Cell and atoms:
a b c (Å): 7.5312 7.5312 10.6495
angles (deg): 90.00 90.00 120.00
Space group P-3 (No. 147)
Symmetry-distinct sites (fractional):
K 0.0000 0.0000 0.0000 [1 per cell]
Ca 0.0000 0.0000 0.5000 [1 per cell]
Mn 0.3333 0.6667 0.7506 [2 per cell]
I 0.0066 0.6721 0.3198 [6 per cell]
I 0.3333 0.6667 0.9953 [2 per cell]



6.
Diffraction record for KRb2CaI5. The powder diffractogram is computed, not measured: it uses a PBE-relaxed structure and λ = 1.5418 Å (Cu Kα).

Top 12 peaks for 2θ = 10–90°, in order of rising 2θ:
11.35°, rel. 35, hkl 0 1 1; 17.99°, rel. 22, hkl 1 1 0; 21.08°, rel. 40, hkl 1 0 3; 25.86°, rel. 100, hkl 1 2 1; 28.76°, rel. 85, hkl 0 2 4; 29.20°, rel. 53, hkl 1 0 5; 29.56°, rel. 36, hkl 1 2 3; 29.81°, rel. 50, hkl 2 0 0; 41.67°, rel. 19, hkl 0 4 0; 41.90°, rel. 60, hkl 2 2 4; 51.69°, rel. 21, hkl 1 4 5; 52.08°, rel. 20, hkl 2 4 0

Cell and atoms:
a b c (Å): 5.9939 8.6695 17.7839
angles (deg): 90.00 90.00 90.00
Space group Immm (No. 71)
Symmetry-distinct sites (fractional):
K 0.0000 0.0000 0.0000 [2 per cell]
Rb 0.0000 0.5000 0.2048 [4 per cell]
Ca 0.0000 0.0000 0.5000 [2 per cell]
I 0.0000 0.2530 0.3730 [8 per cell]
I 0.0000 0.5000 0.0000 [2 per cell]



7.
Diffraction record for CaLaI4. The powder diffractogram is computed, not measured: it uses a PBE-relaxed structure and λ = 1.5418 Å (Cu Kα).

Top 12 peaks for 2θ = 10–90°, in order of rising 2θ:
11.52°, rel. 29, hkl 0 1 1; 23.16°, rel. 36, hkl 0 2 2; 24.36°, rel. 22, hkl 2 1 1; 25.13°, rel. 30, hkl 2 0 2; 26.24°, rel. 58, hkl 0 0 4; 28.80°, rel. 100, hkl 2 2 0; 38.67°, rel. 21, hkl 0 4 0; 39.35°, rel. 77, hkl 2 2 4; 43.57°, rel. 16, hkl 4 0 0; 47.33°, rel. 21, hkl 0 4 4; 51.57°, rel. 17, hkl 4 0 4; 62.33°, rel. 17, hkl 2 2 8

Cell and atoms:
a b c (Å): 8.3093 9.3141 13.5860
angles (deg): 90.00 90.00 90.00
Space group Imma (No. 74)
Symmetry-distinct sites (fractional):
Ca 0.0000 0.0000 0.0000 [4 per cell]
La 0.2500 0.2500 0.2500 [4 per cell]
I 0.0000 0.0184 0.7689 [8 per cell]
I 0.2420 0.2500 0.4897 [8 per cell]



8.
Diffraction record for CaLa2Pt2I2. The powder diffractogram is computed, not measured: it uses a PBE-relaxed structure and λ = 1.5418 Å (Cu Kα).

Top 12 peaks for 2θ = 10–90°, in order of rising 2θ:
10.64°, rel. 80, hkl 0 0 2; 26.19°, rel. 90, hkl 1 1 2; 31.81°, rel. 82, hkl 1 0 5; 32.25°, rel. 87, hkl 1 1 4; 34.00°, rel. 100, hkl 2 0 0; 35.72°, rel. 19, hkl 2 0 2; 40.54°, rel. 27, hkl 1 1 6; 47.25°, rel. 54, hkl 2 1 5; 48.84°, rel. 36, hkl 2 2 0; 56.26°, rel. 22, hkl 3 1 2; 59.75°, rel. 34, hkl 3 1 4; 66.47°, rel. 26, hkl 2 0 10

Cell and atoms:
a b c (Å): 5.2739 5.2739 16.6288
angles (deg): 90.00 90.00 90.00
Space group I4/mmm (No. 139)
Symmetry-distinct sites (fractional):
Ca 0.0000 0.0000 0.0000 [2 per cell]
La 0.0000 0.0000 0.3959 [4 per cell]
Pt 0.0000 0.5000 0.0000 [4 per cell]
I 0.0000 0.0000 0.1915 [4 per cell]



Copy entry 4 word for word.
Diffraction record for K3CaIn3I8. The powder diffractogram is computed, not measured: it uses a PBE-relaxed structure and λ = 1.5418 Å (Cu Kα).

Top 12 peaks for 2θ = 10–90°, in order of rising 2θ:
10.75°, rel. 17, hkl 0 0 3; 21.81°, rel. 13, hkl 2 0 2; 25.17°, rel. 100, hkl 0 2 4; 32.79°, rel. 7, hkl 0 2 7; 32.95°, rel. 6, hkl 3 0 3; 35.77°, rel. 36, hkl 2 0 8; 36.03°, rel. 36, hkl 2 2 0; 44.47°, rel. 19, hkl 4 0 4; 51.68°, rel. 11, hkl 0 4 8; 58.14°, rel. 14, hkl 2 2 12; 58.51°, rel. 14, hkl 2 4 4; 64.61°, rel. 10, hkl 4 2 8

Cell and atoms:
a b c (Å): 9.9697 9.9697 24.6879
angles (deg): 90.00 90.00 120.00
Space group R-3m (No. 166, hexagonal axes)
Symmetry-distinct sites (fractional):
K 0.0000 0.5000 0.0000 [9 per cell]
Ca 0.0000 0.0000 0.5000 [3 per cell]
In 0.0000 0.5000 0.5000 [9 per cell]
I 0.0000 0.0000 0.2496 [6 per cell]
I 0.0319 0.5160 0.2406 [18 per cell]